No. 1
The following is a computed powder XRD pattern of DyHfCu2Sn2. It was derived from the PBE geometry in OQMD, using Cu Kα X-rays.
Lines closer than 0.1° are merged.

Atomic structure:
```
data_DyHfCu2Sn2
_chemical_formula_sum 'Dy1 Hf1 Cu2 Sn2'
_cell_length_a 4.4947
_cell_length_b 4.4947
_cell_length_c 6.8532
_cell_angle_alpha 90.00
_cell_angle_beta 90.00
_cell_angle_gamma 120.00
_symmetry_space_group_name_H-M 'P 3 m 1'
_symmetry_Int_Tables_number 156
loop_
_symmetry_equiv_pos_as_xyz
'x,y,z'
'-y,x-y,z'
'-x+y,-x,z'
'-y,-x,z'
'-x+y,y,z'
'x,x-y,z'
loop_
_atom_site_label
_atom_site_type_symbol
_atom_site_fract_x
_atom_site_fract_y
_atom_site_fract_z
_atom_site_occupancy
Dy1 Dy 0.0000 0.0000 0.0000 1
Hf1 Hf 0.0000 0.0000 0.4989 1
Cu1 Cu 0.3333 0.6667 0.3315 1
Cu2 Cu 0.6667 0.3333 0.7942 1
Sn1 Sn 0.3333 0.6667 0.7307 1
Sn2 Sn 0.6667 0.3333 0.2480 1
```

Principal peaks in the range 15 to 90 degrees two-theta, most intense first:
two_theta, I_rel
34.88, 100
40.12, 69
54.20, 29
69.54, 27
68.92, 18
22.85, 12
72.90, 12
26.33, 11

No. 2
The following is a computed powder XRD pattern of Nd2DyMg3CuHg2. It was derived from the PBE geometry in OQMD, using Cu Kα X-rays.
Lines closer than 0.1° are merged.

Atomic structure:
```
data_Nd2DyMg3CuHg2
_chemical_formula_sum 'Nd4 Dy2 Mg6 Cu2 Hg4'
_cell_length_a 4.222
_cell_length_b 13.553
_cell_length_c 7.849
_cell_angle_alpha 90.00
_cell_angle_beta 90.00
_cell_angle_gamma 90.00
_symmetry_space_group_name_H-M 'A m m 2'
_symmetry_Int_Tables_number 38
loop_
_symmetry_equiv_pos_as_xyz
'x,y,z'
'-x,-y,z'
'-x,y,z'
'x,-y,z'
'x,y+1/2,z+1/2'
'-x,-y+1/2,z+1/2'
'-x,y+1/2,z+1/2'
'x,-y+1/2,z+1/2'
loop_
_atom_site_label
_atom_site_type_symbol
_atom_site_fract_x
_atom_site_fract_y
_atom_site_fract_z
_atom_site_occupancy
Nd1 Nd 0.000 0.201 0.000 1
Dy1 Dy 0.000 0.000 0.602 1
Mg1 Mg 0.500 0.000 0.966 1
Mg2 Mg 0.500 0.116 0.320 1
Cu1 Cu 0.000 0.000 0.206 1
Hg1 Hg 0.500 0.162 0.699 1
```

Principal peaks in the range 15 to 90 degrees two-theta, most intense first:
two_theta, I_rel
31.14, 100
33.89, 62
22.69, 39
39.85, 34
41.17, 23
59.93, 20
34.97, 20
42.84, 18

No. 3
The following is a computed powder XRD pattern of Dy2TmMg3CuHg2. It was derived from the PBE geometry in OQMD, using Cu Kα X-rays.
Lines closer than 0.1° are merged.

Atomic structure:
```
data_Dy2TmMg3CuHg2
_chemical_formula_sum 'Dy4 Tm2 Mg6 Cu2 Hg4'
_cell_length_a 4.130
_cell_length_b 13.248
_cell_length_c 7.682
_cell_angle_alpha 90.00
_cell_angle_beta 90.00
_cell_angle_gamma 90.00
_symmetry_space_group_name_H-M 'A m m 2'
_symmetry_Int_Tables_number 38
loop_
_symmetry_equiv_pos_as_xyz
'x,y,z'
'-x,-y,z'
'-x,y,z'
'x,-y,z'
'x,y+1/2,z+1/2'
'-x,-y+1/2,z+1/2'
'-x,y+1/2,z+1/2'
'x,-y+1/2,z+1/2'
loop_
_atom_site_label
_atom_site_type_symbol
_atom_site_fract_x
_atom_site_fract_y
_atom_site_fract_z
_atom_site_occupancy
Dy1 Dy 0.000 0.202 0.000 1
Tm1 Tm 0.000 0.000 0.603 1
Mg1 Mg 0.500 0.000 0.964 1
Mg2 Mg 0.500 0.119 0.321 1
Cu1 Cu 0.000 0.000 0.204 1
Hg1 Hg 0.500 0.165 0.701 1
```

Principal peaks in the range 15 to 90 degrees two-theta, most intense first:
two_theta, I_rel
31.85, 100
34.67, 61
23.21, 37
40.73, 22
43.84, 18
42.11, 15
35.76, 14
61.38, 13

No. 4
The following is a computed powder XRD pattern of DyHoCuSi3. It was derived from the PBE geometry in OQMD, using Cu Kα X-rays.
Lines closer than 0.1° are merged.

Atomic structure:
```
data_DyHoCuSi3
_chemical_formula_sum 'Dy8 Ho8 Cu8 Si24'
_cell_length_a 7.991
_cell_length_b 8.025
_cell_length_c 13.834
_cell_angle_alpha 90.00
_cell_angle_beta 90.00
_cell_angle_gamma 90.00
_symmetry_space_group_name_H-M 'F m m m'
_symmetry_Int_Tables_number 69
_symmetry_space_group_name_Hall '-F 2 2'
loop_
_atom_site_label
_atom_site_type_symbol
_atom_site_fract_x
_atom_site_fract_y
_atom_site_fract_z
_atom_site_occupancy
Dy1 Dy 0.250 0.250 0.250 1
Ho1 Ho 0.000 0.244 0.000 1
Cu1 Cu 0.000 0.000 0.333 1
Si1 Si 0.000 0.000 0.169 1
Si2 Si 0.244 0.000 0.416 1
```

Principal peaks in the range 15 to 90 degrees two-theta, most intense first:
two_theta, I_rel
34.22, 100
25.75, 39
45.41, 32
58.07, 22
66.00, 21
76.66, 13
52.75, 11
45.20, 11

No. 5
The following is a computed powder XRD pattern of Dy3YHo2CuTe2. It was derived from the PBE geometry in OQMD, using Cu Kα X-rays.
Lines closer than 0.1° are merged.

Atomic structure:
```
data_Dy3YHo2CuTe2
_chemical_formula_sum 'Dy6 Y2 Ho4 Cu2 Te4'
_cell_length_a 3.926
_cell_length_b 14.554
_cell_length_c 8.423
_cell_angle_alpha 90.00
_cell_angle_beta 90.00
_cell_angle_gamma 90.00
_symmetry_space_group_name_H-M 'A m m 2'
_symmetry_Int_Tables_number 38
loop_
_symmetry_equiv_pos_as_xyz
'x,y,z'
'-x,-y,z'
'-x,y,z'
'x,-y,z'
'x,y+1/2,z+1/2'
'-x,-y+1/2,z+1/2'
'-x,y+1/2,z+1/2'
'x,-y+1/2,z+1/2'
loop_
_atom_site_label
_atom_site_type_symbol
_atom_site_fract_x
_atom_site_fract_y
_atom_site_fract_z
_atom_site_occupancy
Dy1 Dy 0.000 0.000 0.000 1
Dy2 Dy 0.000 0.122 0.635 1
Y1 Y 0.500 0.000 0.352 1
Ho1 Ho 0.500 0.202 0.958 1
Cu1 Cu 0.500 0.000 0.757 1
Te1 Te 0.000 0.167 0.256 1
```

Principal peaks in the range 15 to 90 degrees two-theta, most intense first:
two_theta, I_rel
31.16, 100
32.52, 75
33.56, 72
39.99, 35
37.01, 33
57.67, 30
60.15, 22
46.25, 21

No. 6
The following is a computed powder XRD pattern of Dy3In3Cu2Ir. It was derived from the PBE geometry in OQMD, using Cu Kα X-rays.
Lines closer than 0.1° are merged.

Atomic structure:
```
data_Dy3In3Cu2Ir
_chemical_formula_sum 'Dy3 In3 Cu2 Ir1'
_cell_length_a 7.4940
_cell_length_b 7.4940
_cell_length_c 3.9672
_cell_angle_alpha 90.00
_cell_angle_beta 90.00
_cell_angle_gamma 120.00
_symmetry_space_group_name_H-M 'P -6 2 m'
_symmetry_Int_Tables_number 189
_symmetry_space_group_name_Hall 'P -6 -2'
loop_
_atom_site_label
_atom_site_type_symbol
_atom_site_fract_x
_atom_site_fract_y
_atom_site_fract_z
_atom_site_occupancy
Dy1 Dy 0.0000 0.6000 0.0000 1
In1 In 0.0000 0.2628 0.5000 1
Cu1 Cu 0.3333 0.6667 0.5000 1
Ir1 Ir 0.0000 0.0000 0.0000 1
```

Principal peaks in the range 15 to 90 degrees two-theta, most intense first:
two_theta, I_rel
32.88, 100
35.75, 91
41.75, 42
36.63, 38
67.15, 34
43.37, 28
45.74, 25
63.65, 24